1.
Calculated powder XRD pattern of Tb2TmPb3 for Cu Kα, 1.54184 Å, from a crystal structure in Alexandria, relaxed with PBE.

Structure:
abc: 9.0395 9.0395 6.3940
angles: 100.14 100.14 41.46
Fractional positions:
Tb (0.0408, 0.2927, 0.0856)
Tb (0.2927, 0.0408, 0.5856)
Tb (0.7073, 0.9592, 0.4144)
Tb (0.9592, 0.7073, 0.9144)
Tm (0.3771, 0.6229, 0.7500)
Tm (0.6229, 0.3771, 0.2500)
Pb (0.1231, 0.8769, 0.2500)
Pb (0.2096, 0.4596, 0.4180)
Pb (0.4596, 0.2096, 0.9180)
Pb (0.5404, 0.7904, 0.0820)
Pb (0.7904, 0.5404, 0.5820)
Pb (0.8769, 0.1231, 0.7500)

The 8 most intense peaks (5° ≤ 2θ ≤ 70°), in order of falling intensity:
2theta	intensity
32.3	100.0
67.7	31.9
57.7	23.6
39.9	22.8
52.2	21.1
21.2	1.4
45.6	0.7
31.3	0.6

***

2.
Calculated powder XRD pattern of Sc6InPb for Cu Kα, 1.54184 Å, from a crystal structure in Alexandria, relaxed with PBE.

Structure:
abc: 5.7184 5.7184 5.7184
angles: 90.00 90.00 90.00
Fractional positions:
Sc (0.0000, 0.2485, 0.5000)
Sc (0.0000, 0.7515, 0.5000)
Sc (0.2485, 0.5000, 0.0000)
Sc (0.5000, 0.0000, 0.2485)
Sc (0.5000, 0.0000, 0.7515)
Sc (0.7515, 0.5000, 0.0000)
In (0.0000, 0.0000, 0.0000)
Pb (0.5000, 0.5000, 0.5000)

The 8 most intense peaks (5° ≤ 2θ ≤ 70°), in order of falling intensity:
2theta	intensity
38.6	100.0
22.0	64.3
60.6	51.9
31.3	44.2
35.1	30.4
50.5	15.5
44.8	10.8
65.3	10.2

***

3.
Calculated powder XRD pattern of CsTcH3F for Cu Kα, 1.54184 Å, from a crystal structure in Alexandria, relaxed with PBE.

Structure:
abc: 3.5341 3.5341 6.9196
angles: 90.00 90.00 90.00
Fractional positions:
Cs (0.0000, 0.0000, 0.0000)
Tc (0.5000, 0.5000, 0.4736)
H (0.0000, 0.5000, 0.4025)
H (0.5000, 0.0000, 0.4025)
H (0.5000, 0.5000, 0.2310)
F (0.5000, 0.5000, 0.7797)

The 8 most intense peaks (5° ≤ 2θ ≤ 70°), in order of falling intensity:
2theta	intensity
28.4	100.0
35.9	32.2
25.7	27.8
47.0	26.8
44.7	24.3
60.0	23.4
51.7	11.4
58.7	11.2

***

4.
Calculated powder XRD pattern of Li2BeSnSe4 for Cu Kα, 1.54184 Å, from a crystal structure in Alexandria, relaxed with PBE.

Structure:
abc: 6.8375 6.8375 6.8375
angles: 128.84 128.84 75.27
Fractional positions:
Li (0.0000, 0.0000, 0.0000)
Li (0.7500, 0.2500, 0.5000)
Be (0.2500, 0.7500, 0.5000)
Sn (0.5000, 0.5000, 0.0000)
Se (0.1333, 0.6351, 0.0446)
Se (0.3649, 0.4095, 0.4982)
Se (0.5905, 0.0887, 0.9554)
Se (0.9113, 0.8667, 0.5018)

The 8 most intense peaks (5° ≤ 2θ ≤ 70°), in order of falling intensity:
2theta	intensity
27.0	100.0
45.5	38.1
17.1	36.4
51.8	27.8
43.3	22.3
35.0	15.8
34.6	12.4
55.5	10.7